# K3Tl4Pt3
Computed XRD peak list, Cu Kα, 1.54184 Å. Input: a structure optimized by DFT (GGA-PBE).

The 8 most intense peaks (5° ≤ 2θ ≤ 70°), in order of rising 2θ:
- 20.7°, 4.295 Å, rel. 90.5
- 31.8°, 2.812 Å, rel. 100.0
- 38.3°, 2.353 Å, rel. 25.1
- 40.2°, 2.243 Å, rel. 25.4
- 42.1°, 2.148 Å, rel. 22.4
- 43.9°, 2.063 Å, rel. 66.9
- 55.2°, 1.664 Å, rel. 18.8
- 65.2°, 1.432 Å, rel. 20.3

Structural model:
```
K3Tl4Pt3
1.0
-5.261 5.261 5.261
5.261 -5.261 5.261
5.261 5.261 -5.261
K Tl Pt
6 8 6
Direct
0.125 0.750 0.875
0.250 0.625 0.375
0.375 0.250 0.625
0.625 0.375 0.250
0.750 0.875 0.125
0.875 0.125 0.750
0.000 0.359 0.500
0.000 0.859 0.500
0.141 0.141 0.141
0.359 0.500 0.000
0.500 0.000 0.359
0.500 0.000 0.859
0.641 0.641 0.641
0.859 0.500 0.000
0.125 0.875 0.250
0.250 0.125 0.875
0.375 0.625 0.750
0.625 0.750 0.375
0.750 0.375 0.625
0.875 0.250 0.125
```